# 1
# Mg2PbAu
Simulated powder diffraction line list, Cu Kα, 1.54184 Å. Input: a crystal structure in Alexandria, relaxed with GGA-PBE.

Cell and atoms:
```
Mg2PbAu
1.0
-2.1422 2.1422 4.7923
2.1422 -2.1422 4.7923
2.1422 2.1422 -4.7923
Mg Pb Au
2 1 1
Cartesian
0.0000 0.0000 0.0000
0.0000 2.1422 2.3961
2.1422 0.0000 2.3961
0.0000 0.0000 4.7923
```

Principal peaks in the range 5 to 70 degrees two-theta, sorted by position:
2θ (°)	I (rel.)
22.73	67
35.04	100
37.54	16
42.19	23
48.45	19
52.28	8
55.96	12
57.73	19
61.19	8
66.14	16



# 2
# Pm3HoIr
Simulated powder diffraction line list, Cu Kα, 1.54184 Å. Input: a crystal structure in Alexandria, relaxed with GGA-PBE.

Cell and atoms:
```
Pm3HoIr
1.0
-4.4175 4.1245 4.3234
4.4175 -4.1245 4.3234
4.4175 4.1245 -4.3234
Pm Ho Ir
6 2 2
Cartesian
0.4763 1.7235 0.0000
3.9412 1.7235 0.0000
2.2087 -0.3473 2.6259
2.2087 4.4718 -1.6975
0.4763 2.4011 4.3234
3.9412 2.4011 4.3234
2.2087 -0.3883 6.0556
2.2087 4.5128 1.7322
6.6262 1.1440 -0.0040
-2.2087 2.9806 4.3194
```

Principal peaks in the range 5 to 70 degrees two-theta, sorted by position:
2θ (°)	I (rel.)
14.69	40
20.10	39
29.63	77
29.94	100
32.28	74
32.92	62
34.19	99
38.57	42
49.46	40
53.42	50



# 3
# Ac3Pd4Pt2
Simulated powder diffraction line list, Cu Kα, 1.54184 Å. Input: a crystal structure in Alexandria, relaxed with GGA-PBE.

Cell and atoms:
```
Ac3Pd4Pt2
1.0
4.6026 0.0000 0.0000
-2.3013 3.9860 0.0000
0.0000 0.0000 24.0927
Ac Pd Pt
6 8 4
Cartesian
0.0000 0.0000 2.0099
0.0000 0.0000 6.0470
0.0000 0.0000 10.0326
0.0000 0.0000 14.0601
0.0000 0.0000 18.0457
0.0000 0.0000 22.0828
0.0000 2.6573 4.0364
0.0000 2.6573 8.0408
0.0000 2.6573 12.0463
0.0000 2.6573 16.0518
0.0000 2.6573 20.0563
2.3013 1.3287 4.0438
2.3013 1.3287 12.0463
2.3013 1.3287 20.0489
0.0000 2.6573 0.0000
2.3013 1.3287 0.0000
2.3013 1.3287 8.0435
2.3013 1.3287 16.0492
```

Principal peaks in the range 5 to 70 degrees two-theta, sorted by position:
2θ (°)	I (rel.)
11.02	4
22.30	7
24.94	2
31.63	100
39.14	54
45.16	12
45.48	2
51.17	26
61.27	29
66.26	25



# 4
# Sr2SmScSe4
Simulated powder diffraction line list, Cu Kα, 1.54184 Å. Input: a crystal structure in Alexandria, relaxed with GGA-PBE.

Cell and atoms:
```
Sr2SmScSe4
1.0
7.2398 0.0000 0.0000
0.0000 4.1875 0.0000
-2.4210 0.0000 7.0208
Sr Sm Sc Se
2 1 1 4
Cartesian
0.0000 0.0000 0.0000
3.6199 2.0938 0.0000
-1.2105 2.0938 3.5104
2.4094 0.0000 3.5104
0.0727 0.0000 5.1330
1.2783 2.0938 1.9378
3.5405 2.0938 5.0830
4.7462 0.0000 1.8878
```

Principal peaks in the range 5 to 70 degrees two-theta, sorted by position:
2θ (°)	I (rel.)
12.93	3
14.84	4
24.76	3
29.94	100
42.44	36
43.25	36
52.11	6
53.49	19
62.20	11
69.94	10



# 5
# Tm7IrSe5
Simulated powder diffraction line list, Cu Kα, 1.54184 Å. Input: a crystal structure in Alexandria, relaxed with GGA-PBE.

Cell and atoms:
```
Tm7IrSe5
1.0
1.9523 -6.6208 0.0000
1.9523 6.6208 0.0000
0.0000 0.0000 24.1734
Tm Ir Se
14 2 10
Cartesian
1.9523 6.0093 12.0867
1.9523 4.8620 5.2718
1.9523 4.7010 19.1311
1.9523 2.7981 10.5197
1.9523 2.5503 13.7549
1.9523 1.4371 2.9164
1.9523 1.0911 20.9491
1.9523 -1.0911 8.8624
1.9523 -1.4371 15.0031
1.9523 -2.5503 1.6682
1.9523 -2.7981 22.6064
1.9523 -4.7010 7.0444
1.9523 -4.8620 17.3585
1.9523 -6.0093 0.0000
1.9523 2.5687 0.2689
1.9523 -2.5687 12.3556
1.9523 5.9987 2.7093
1.9523 5.7963 21.6700
1.9523 3.7636 7.8505
1.9523 3.6125 16.4672
1.9523 0.0982 6.1126
1.9523 -0.0982 18.1993
1.9523 -3.6125 4.3805
1.9523 -3.7636 19.9372
1.9523 -5.7963 9.5833
1.9523 -5.9987 14.7960
```

Principal peaks in the range 5 to 70 degrees two-theta, sorted by position:
2θ (°)	I (rel.)
28.00	25
29.17	70
30.80	23
31.47	100
32.57	90
41.37	51
45.16	30
45.44	25
46.52	36
55.85	23



# 6
# LaTbAg4
Simulated powder diffraction line list, Cu Kα, 1.54184 Å. Input: a crystal structure in Alexandria, relaxed with GGA-PBE.

Cell and atoms:
```
LaTbAg4
1.0
2.7074 -4.7697 0.0000
2.7074 4.7697 0.0000
0.0000 0.0000 5.4082
La Tb Ag
1 1 4
Cartesian
0.0000 0.0000 0.0000
2.7074 0.0000 2.7041
2.7074 3.0746 2.7041
2.7074 1.6116 0.0000
2.7074 -1.6116 0.0000
2.7074 -3.0746 2.7041
```

Principal peaks in the range 5 to 70 degrees two-theta, sorted by position:
2θ (°)	I (rel.)
25.07	3
33.11	68
36.75	100
47.52	24
51.05	1
54.48	1
58.01	6
61.54	43
68.44	15
69.48	7



# 7
# Nd3Co4Ni2
Simulated powder diffraction line list, Cu Kα, 1.54184 Å. Input: a crystal structure in Alexandria, relaxed with GGA-PBE.

Cell and atoms:
```
Nd3Co4Ni2
1.0
3.9496 0.0000 0.0000
-1.9748 3.4204 0.0000
0.0000 0.0000 24.6798
Nd Co Ni
6 8 4
Cartesian
0.0000 0.0000 2.0532
0.0000 0.0000 6.2092
0.0000 0.0000 10.2385
0.0000 0.0000 14.4413
0.0000 0.0000 18.4706
0.0000 0.0000 22.6265
0.0000 2.2803 4.0968
0.0000 2.2803 8.2213
0.0000 2.2803 12.3399
0.0000 2.2803 16.4584
0.0000 2.2803 20.5829
1.9748 1.1401 4.1001
1.9748 1.1401 12.3399
1.9748 1.1401 20.5796
0.0000 2.2803 0.0000
1.9748 1.1401 0.0000
1.9748 1.1401 8.2211
1.9748 1.1401 16.4586
```

Principal peaks in the range 5 to 70 degrees two-theta, sorted by position:
2θ (°)	I (rel.)
26.05	15
34.09	100
44.03	14
45.96	36
51.87	5
53.59	2
58.44	21
65.53	24



# 8
# Zr3TlH
Simulated powder diffraction line list, Cu Kα, 1.54184 Å. Input: a crystal structure in Alexandria, relaxed with GGA-PBE.

Cell and atoms:
```
Zr3TlH
1.0
3.9805 2.2981 3.4317
-3.9805 2.2981 3.4317
0.0000 -4.5962 3.4317
Zr Tl H
6 2 2
Cartesian
-0.9833 -1.7031 2.5738
-0.9833 1.7031 2.5738
1.9665 0.0000 2.5738
-1.9665 0.0000 7.7213
0.9833 -1.7031 7.7213
0.9833 1.7031 7.7213
0.0000 0.0000 0.0000
0.0000 0.0000 5.1475
0.0000 0.0000 2.5738
0.0000 0.0000 7.7213
```

Principal peaks in the range 5 to 70 degrees two-theta, sorted by position:
2θ (°)	I (rel.)
22.33	28
31.23	87
34.51	53
35.54	52
37.29	57
38.73	100
39.20	45
58.58	29
61.65	27
65.14	28